(1)
Simulated powder X-ray diffraction pattern of InPb for λ = 1.5418 Å (Cu Kα), from DFT lattice parameters and positions (PBE).
No peak broadening, texture or thermal motion is included.

Crystal structure
a = 5.9521 Å, b = 3.4252 Å, c = 5.9542 Å
α = 90.00°, β = 97.94°, γ = 90.00°
Fractional positions:
In  0.0000  0.0000  0.0000
In  0.5000  0.5000  0.0000
Pb  0.3360  0.0000  0.5032
Pb  0.8360  0.5000  0.5032

Peak list (10 most intense, 10 to 90 degrees two-theta, in order of rising 2θ)
2theta  I_rel
15.0  266
30.2  457
30.3  1000
32.0  503
32.9  943
34.8  827
35.9  364
53.8  306
54.2  251
62.7  256

=====

(2)
Simulated powder X-ray diffraction pattern of CeEu2ZrO6 for λ = 1.5418 Å (Cu Kα), from DFT lattice parameters and positions (PBE).
No peak broadening, texture or thermal motion is included.

Crystal structure
a = 6.1013 Å, b = 6.1013 Å, c = 6.1013 Å
α = 60.00°, β = 60.00°, γ = 60.00°
Fractional positions:
Ce  0.0000  0.0000  0.0000
Eu  0.2500  0.2500  0.2500
Eu  0.7500  0.7500  0.7500
Zr  0.5000  0.5000  0.5000
O  0.2567  0.2567  0.7433
O  0.2567  0.7433  0.2567
O  0.2567  0.7433  0.7433
O  0.7433  0.2567  0.2567
O  0.7433  0.2567  0.7433
O  0.7433  0.7433  0.2567

Peak list (10 most intense, 10 to 90 degrees two-theta, in order of rising 2θ)
2theta  I_rel
17.8  14
29.3  1000
36.1  45
41.9  298
51.9  411
60.7  187
68.8  179
72.7  13
76.5  62
83.9  214

=====

(3)
Simulated powder X-ray diffraction pattern of Rb2MnSe2 for λ = 1.5418 Å (Cu Kα), from DFT lattice parameters and positions (PBE).
No peak broadening, texture or thermal motion is included.

Crystal structure
a = 8.5504 Å, b = 8.5504 Å, c = 8.5504 Å
α = 128.90°, β = 71.30°, γ = 133.84°
Fractional positions:
Rb  0.1463  0.1674  0.3137
Rb  0.3537  0.6674  0.0211
Rb  0.6463  0.3326  0.9789
Rb  0.8537  0.8326  0.6863
Mn  0.2500  0.7500  0.5000
Mn  0.7500  0.2500  0.5000
Se  0.1009  0.6855  0.7864
Se  0.3991  0.1855  0.5846
Se  0.6009  0.8145  0.4154
Se  0.8991  0.3145  0.2136

Peak list (10 most intense, 10 to 90 degrees two-theta, in order of rising 2θ)
2theta  I_rel
22.7  339
25.6  461
26.6  642
28.4  1000
31.4  557
33.8  486
35.5  385
36.2  475
37.3  767
51.8  378

=====

(4)
Simulated powder X-ray diffraction pattern of CeMn10Cu for λ = 1.5418 Å (Cu Kα), from DFT lattice parameters and positions (PBE).
No peak broadening, texture or thermal motion is included.

Crystal structure
a = 8.2097 Å, b = 8.2097 Å, c = 4.7435 Å
α = 90.00°, β = 90.00°, γ = 90.25°
Fractional positions:
Ce  0.0000  0.5000  0.0000
Ce  0.5000  0.0000  0.0000
Mn  0.0000  0.0000  0.5040
Mn  0.0631  0.7208  0.4983
Mn  0.1129  0.8871  0.0062
Mn  0.1771  0.1771  0.2361
Mn  0.1767  0.1767  0.7756
Mn  0.2180  0.4278  0.5000
Mn  0.2792  0.9369  0.4983
Mn  0.3219  0.6781  0.2676
Mn  0.3822  0.3822  0.0044
Mn  0.4278  0.2180  0.5000
Mn  0.5000  0.5000  0.5042
Mn  0.5722  0.7820  0.5000
Mn  0.6178  0.6178  0.0044
Mn  0.6781  0.3219  0.2676
Mn  0.7208  0.0631  0.4983
Mn  0.7820  0.5722  0.5000
Mn  0.8229  0.8229  0.2361
Mn  0.8233  0.8233  0.7756
Mn  0.8871  0.1129  0.0062
Mn  0.9369  0.2792  0.4983
Cu  0.3211  0.6789  0.7802
Cu  0.6789  0.3211  0.7802

Peak list (10 most intense, 10 to 90 degrees two-theta, in order of rising 2θ)
2theta  I_rel
24.2  199
34.6  305
36.2  232
39.5  579
39.6  551
44.1  652
44.2  204
45.5  1000
45.6  266
70.7  193

=====

(5)
Simulated powder X-ray diffraction pattern of CaH16O10 for λ = 1.5418 Å (Cu Kα), from DFT lattice parameters and positions (PBE).
No peak broadening, texture or thermal motion is included.

Crystal structure
a = 6.2095 Å, b = 6.2132 Å, c = 10.9468 Å
α = 90.00°, β = 90.05°, γ = 90.00°
Fractional positions:
Ca  0.0000  0.0027  0.0000
Ca  0.0000  0.9973  0.5000
H  0.0338  0.4463  0.8801
H  0.0338  0.5537  0.3801
H  0.1340  0.3006  0.7131
H  0.1340  0.6994  0.2131
H  0.2772  0.3840  0.6019
H  0.2772  0.6160  0.1019
H  0.2781  0.3798  0.8960
H  0.2781  0.6202  0.3960
H  0.3049  0.1338  0.2892
H  0.3049  0.8662  0.7892
H  0.3796  0.2627  0.4077
H  0.3796  0.7373  0.9077
H  0.3824  0.2771  0.1028
H  0.3824  0.7229  0.6028
H  0.4446  0.0314  0.1191
H  0.4446  0.9686  0.6191
H  0.5591  0.0328  0.8805
H  0.5591  0.9672  0.3805
H  0.6214  0.2745  0.6012
H  0.6214  0.7255  0.1012
H  0.6241  0.2789  0.8962
H  0.6241  0.7211  0.3962
H  0.7014  0.1302  0.7132
H  0.7014  0.8698  0.2132
H  0.7267  0.3787  0.1022
H  0.7267  0.6213  0.6022
H  0.7276  0.3819  0.3970
H  0.7276  0.6181  0.8970
H  0.8709  0.3010  0.2846
H  0.8709  0.6990  0.7846
H  0.9721  0.4449  0.1173
H  0.9721  0.5551  0.6173
O  0.1304  0.3183  0.8741
O  0.1304  0.6817  0.3741
O  0.1313  0.3188  0.6224
O  0.1313  0.6812  0.1224
O  0.3191  0.1175  0.3806
O  0.3190  0.1307  0.1269
O  0.3190  0.8693  0.6269
O  0.3191  0.8825  0.8806
O  0.5018  0.4977  0.4325
O  0.5018  0.5023  0.9325
O  0.5044  0.4979  0.0689
O  0.5044  0.5021  0.5689
O  0.6830  0.1271  0.6225
O  0.6830  0.8729  0.1225
O  0.6857  0.1315  0.8737
O  0.6857  0.8685  0.3737
O  0.8739  0.3178  0.3753
O  0.8739  0.6822  0.8753
O  0.8748  0.3175  0.1235
O  0.8748  0.6825  0.6235

Peak list (10 most intense, 10 to 90 degrees two-theta, in order of rising 2θ)
2theta  I_rel
16.2  600
26.0  737
32.7  274
33.2  369
33.3  1000
38.8  337
40.8  447
44.1  233
46.2  545
46.6  315

=====

(6)
Simulated powder X-ray diffraction pattern of BaB2O4 for λ = 1.5418 Å (Cu Kα), from DFT lattice parameters and positions (PBE).
No peak broadening, texture or thermal motion is included.

Crystal structure
a = 13.6084 Å, b = 13.6084 Å, c = 7.7152 Å
α = 91.81°, β = 91.81°, γ = 140.66°
Fractional positions:
Ba  0.1724  0.8276  0.5000
Ba  0.2072  0.5617  0.7436
Ba  0.3764  0.7661  0.3156
Ba  0.5617  0.2072  0.2436
Ba  0.7661  0.3764  0.8156
Ba  0.8276  0.1724  0.0000
B  0.1735  0.3862  0.1800
B  0.1879  0.3554  0.4074
B  0.1903  0.2590  0.6849
B  0.2590  0.1903  0.1849
B  0.3554  0.1879  0.9074
B  0.3862  0.1735  0.6800
B  0.6580  0.8625  0.6559
B  0.6888  0.7793  0.9195
B  0.7363  0.9279  0.3716
B  0.7793  0.6888  0.4195
B  0.8625  0.6580  0.1559
B  0.9279  0.7363  0.8716
O  0.0526  0.2714  0.3043
O  0.1581  0.3969  0.0194
O  0.1653  0.6412  0.5006
O  0.1784  0.1848  0.7896
O  0.1848  0.1784  0.2896
O  0.2037  0.3439  0.5831
O  0.2714  0.0526  0.8043
O  0.3061  0.4773  0.3104
O  0.3439  0.2037  0.0831
O  0.3969  0.1581  0.5194
O  0.4040  0.9607  0.3515
O  0.4773  0.3061  0.8104
O  0.5264  0.8049  0.6195
O  0.6412  0.1653  0.0006
O  0.6650  0.6899  0.0079
O  0.6899  0.6650  0.5079
O  0.6906  0.9167  0.2224
O  0.7171  0.8772  0.8257
O  0.7775  0.9416  0.5348
O  0.8049  0.5264  0.1195
O  0.8772  0.7171  0.3257
O  0.9167  0.6906  0.7224
O  0.9416  0.7775  0.0348
O  0.9607  0.4040  0.8515

Peak list (10 most intense, 10 to 90 degrees two-theta, in order of rising 2θ)
2theta  I_rel
16.1  1000
18.9  210
20.7  302
22.8  279
25.8  357
26.5  359
28.1  258
29.1  272
30.0  225
32.9  217